[1]
The following is a computed PXRD pattern of LiMnO2. It was derived from a structure optimized by DFT (GGA+U), using Cu Kα, 1.54184 Å.
Kinematic intensities with the Lorentz-polarization factor, no thermal factor.

Largest 10 diffraction maxima, low angle first, 2θ from 10° to 90°:
d/Å	Rel. int.	h k l
5.833	1000	0 0 1
3.628	879	0 1 1
2.574	246	1 0 1
2.468	139	0 1 2
2.317	611	0 2 0
2.250	230	1 1 1
2.154	140	0 2 1
2.045	771	1 0 2
1.533	527	1 2 2
1.520	179	1 1 3

Structure:
```
data_LiMnO2
_chemical_formula_sum 'Li2 Mn2 O4'
_symmetry_space_group_name_H-M 'P m m n'
_symmetry_Int_Tables_number 59
_cell_length_a 2.8688
_cell_length_b 4.6345
_cell_length_c 5.8325
_cell_angle_alpha 90.00
_cell_angle_beta 90.00
_cell_angle_gamma 90.00
loop_
_symmetry_equiv_pos_as_xyz
'x,y,z'
'-x,-y,-z'
'-x+1/2,-y+1/2,z'
'x+1/2,y+1/2,-z'
'x+1/2,-y,-z'
'-x+1/2,y,z'
'-x,y+1/2,-z'
'x,-y+1/2,z'
loop_
_atom_site_label
_atom_site_type_symbol
_atom_site_fract_x
_atom_site_fract_y
_atom_site_fract_z
Li1 Li 0.2500 0.2500 0.1202
Mn1 Mn 0.2500 0.2500 0.6367
O1 O 0.2500 0.7500 0.1392
O2 O 0.2500 0.7500 0.5985
```



[2]
The following is a computed PXRD pattern of MgVP2O7. It was derived from a structure optimized by DFT (GGA+U), using Cu Kα, 1.54184 Å.
Kinematic intensities with the Lorentz-polarization factor, no thermal factor.

Largest 10 diffraction maxima, low angle first, 2θ from 10° to 90°:
d/Å	Rel. int.	h k l
5.207	123	1 1 -1
3.072	1000	1 2 -2
3.039	520	1 0 2
2.613	87	1 3 0
2.595	131	2 2 0
2.153	168	2 3 -2
1.892	82	0 2 4
1.655	86	0 1 5
1.607	135	3 3 -4
1.347	80	2 3 -6

Structure:
```
data_MgVP2O7
_chemical_formula_sum 'Mg4 V4 P8 O28'
_symmetry_space_group_name_H-M 'P 1 21/c 1'
_symmetry_Int_Tables_number 14
_cell_length_a 7.1069
_cell_length_b 8.5520
_cell_length_c 9.1825
_cell_angle_alpha 90.00
_cell_angle_beta 113.23
_cell_angle_gamma 90.00
loop_
_symmetry_equiv_pos_as_xyz
'x,y,z'
'-x,-y,-z'
'-x,y+1/2,-z+1/2'
'x,-y+1/2,z+1/2'
loop_
_atom_site_label
_atom_site_type_symbol
_atom_site_fract_x
_atom_site_fract_y
_atom_site_fract_z
Mg1 Mg 0.1979 0.0585 0.3183
V1 V 0.2633 0.0738 0.8901
P1 P 0.0316 0.7237 0.9685
P2 P 0.4390 0.7340 0.2575
O1 O 0.0100 0.0907 0.6528
O2 O 0.0441 0.6155 0.3974
O3 O 0.1213 0.2262 0.4505
O4 O 0.2495 0.6752 0.0998
O5 O 0.3820 0.2376 0.2978
O6 O 0.3861 0.6111 0.8099
O7 O 0.4737 0.6005 0.3779
```



[3]
The following is a computed PXRD pattern of Li2MnF5. It was derived from a structure optimized by DFT (GGA+U), using Cu Kα, 1.54184 Å.
Kinematic intensities with the Lorentz-polarization factor, no thermal factor.

Largest 10 diffraction maxima, low angle first, 2θ from 10° to 90°:
d/Å	Rel. int.	h k l
4.679	906	0 1 1
4.020	1000	2 0 1
3.899	727	2 1 0
3.458	404	0 0 2
3.176	514	0 2 0
2.833	247	2 0 2
2.470	438	4 0 0
2.089	269	2 0 3
2.025	254	0 3 1
1.947	354	2 3 0

Structure:
```
data_Li2MnF5
_chemical_formula_sum 'Li8 Mn4 F20'
_symmetry_space_group_name_H-M 'P n a 21'
_symmetry_Int_Tables_number 33
_cell_length_a 9.8788
_cell_length_b 6.3525
_cell_length_c 6.9167
_cell_angle_alpha 90.00
_cell_angle_beta 90.00
_cell_angle_gamma 90.00
loop_
_symmetry_equiv_pos_as_xyz
'x,y,z'
'-x,-y,z+1/2'
'-x+1/2,y+1/2,z+1/2'
'x+1/2,-y+1/2,z'
loop_
_atom_site_label
_atom_site_type_symbol
_atom_site_fract_x
_atom_site_fract_y
_atom_site_fract_z
Li1 Li 0.0462 0.2380 0.0000
Li2 Li 0.1753 0.7608 0.2947
Mn1 Mn 0.0921 0.2594 0.4834
F1 F 0.0971 0.5545 0.4771
F2 F 0.0986 0.9640 0.4752
F3 F 0.1065 0.7538 0.0456
F4 F 0.1379 0.2582 0.7601
F5 F 0.1419 0.2599 0.2232
```